Theoretical powder X-ray diffraction pattern
Compound: Na2P3HO9
Radiation: λ = 1.5418 Å (Cu Kα)
Structure: a cell relaxed with GGA-PBE

Crystal structure
```
Na2P3HO9
1.0
6.7886 0.0000 0.0000
-0.0004 7.2691 0.0000
-1.7039 -0.3178 7.6631
Na P H O
4 6 2 18
Cartesian
-0.0120 0.9293 2.6468 Na
1.6951 5.9477 4.9562 Na
3.3891 1.0036 2.7069 Na
5.0962 6.0220 5.0163 Na
-0.2217 4.7809 2.1151 P
1.7224 6.2510 0.4001 P
1.5154 2.2308 5.5356 P
3.5688 4.7205 2.1275 P
3.3618 0.7002 7.2630 P
5.3060 2.1704 5.5480 P
1.4638 3.3845 2.4646 H
3.6204 3.5668 5.1985 H
-0.1361 5.7927 3.2106 O
0.4421 5.2560 0.7508 O
0.4018 3.3897 2.4587 O
-0.0143 2.5446 6.0090 O
-0.0003 6.1047 6.5854 O
1.6991 0.1482 1.3325 O
1.5565 1.1912 4.4532 O
2.9951 5.2864 0.7320 O
2.1592 3.5727 5.2770 O
2.9250 3.3786 2.3861 O
2.0891 1.6649 6.9311 O
3.5277 5.7601 3.2098 O
3.3851 6.8031 6.3306 O
5.0845 0.8466 1.0776 O
5.0985 4.4067 1.6541 O
4.6824 3.5616 5.2044 O
4.6421 1.6953 6.9123 O
5.2204 1.1586 4.4525 O
```

Main lines, low angle first (10 to 80 degrees two-theta):
| 2θ (°) | Rel. int. | index |
| --- | --- | --- |
| 16.46 | 20 | 0 1 -1 |
| 17.17 | 76 | 0 1 1 |
| 22.75 | 28 | 1 -1 1 |
| 23.21 | 28 | 0 0 2 |
| 26.75 | 88 | 0 1 2 |
| 27.61 | 37 | 0 2 1 |
| 29.53 | 42 | 2 1 -1 |
| 31.65 | 100 | 2 0 -2 |
| 36.88 | 25 | 2 2 0 |
| 61.30 | 24 | 2 4 1 |